For Pm4Cu3Bi8, a structure optimized by DFT (PBE) gives the calculated X-ray diffraction stick pattern in this record (a wavelength of 1.5418 Å).

Crystal structure
Cell: 4.588 4.588 19.438 Å, 90.00 90.00 90.00°
Space group P-4m2 (No. 115)
Unique sites:
1 Pm 0.000 0.500 0.114 [2 per cell]
2 Pm 0.000 0.500 0.620 [2 per cell]
3 Cu 0.000 0.000 0.000 [1 per cell]
4 Cu 0.000 0.000 0.500 [1 per cell]
5 Cu 0.500 0.500 0.500 [1 per cell]
6 Bi 0.000 0.000 0.247 [2 per cell]
7 Bi 0.000 0.500 0.418 [2 per cell]
8 Bi 0.000 0.500 0.927 [2 per cell]
9 Bi 0.500 0.500 0.248 [2 per cell]

Peak list (6 most intense, 2θ = 15–90°, in order of rising 2θ)
2θ = 27.5°, intensity 310
2θ = 29.0°, intensity 503
2θ = 33.2°, intensity 1000
2θ = 39.3°, intensity 547
2θ = 48.6°, intensity 246
2θ = 67.4°, intensity 263